Record 1
Simulated X-ray diffraction stick pattern of RbCdSn2Pb for λ = 1.5418 Å (Cu Kα), from a structure optimized by DFT (GGA-PBE).

Atomic structure:
abc: 5.357 5.357 11.938
angles: 90.00 90.00 90.00
Space group I-4m2 (No. 119)
Unique sites:
Rb (0.000, 0.000, 0.000) (multiplicity 2)
Cd (0.000, 0.500, 0.750) (multiplicity 2)
Sn (0.000, 0.000, 0.378) (multiplicity 4)
Pb (0.000, 0.500, 0.250) (multiplicity 2)

Peak list (6 most intense, 2θ = 10–80°, by intensity)
| two_theta | Rel. int. | index |
| --- | --- | --- |
| 27.9 | 100 | 1 1 2 |
| 33.5 | 54 | 2 0 0 |
| 38.4 | 46 | 1 1 4 |
| 56.5 | 24 | 3 1 2 |
| 14.8 | 22 | 0 0 2 |
| 63.1 | 21 | 3 1 4 |

=====

Record 2
Simulated X-ray diffraction stick pattern of RbTlCd2Pb for λ = 1.5418 Å (Cu Kα), from a structure optimized by DFT (GGA-PBE).

Atomic structure:
abc: 5.099 5.184 12.849
angles: 90.00 90.00 90.00
Space group Imm2 (No. 44)
Unique sites:
Rb (0.000, 0.000, 0.000) (multiplicity 2)
Tl (0.000, 0.000, 0.388) (multiplicity 2)
Cd (0.000, 0.000, 0.621) (multiplicity 2)
Cd (0.000, 0.500, 0.249) (multiplicity 2)
Pb (0.000, 0.500, 0.744) (multiplicity 2)

Peak list (6 most intense, 2θ = 10–80°, by intensity)
| two_theta | Rel. int. | index |
| --- | --- | --- |
| 28.2 | 100 | 1 1 2 |
| 37.4 | 70 | 1 1 4 |
| 34.6 | 37 | 0 2 0 |
| 35.2 | 35 | 2 0 0 |
| 27.2 | 29 | 1 0 3 |
| 50.2 | 26 | 2 2 0 |

=====

Record 3
Simulated X-ray diffraction stick pattern of CdRePb2 for λ = 1.5418 Å (Cu Kα), from a structure optimized by DFT (GGA-PBE).

Atomic structure:
abc: 3.053 4.762 13.841
angles: 90.00 90.00 90.00
Space group Imm2 (No. 44)
Unique sites:
Cd (0.000, 0.000, 0.000) (multiplicity 2)
Re (0.000, 0.500, 0.680) (multiplicity 2)
Pb (0.000, 0.000, 0.371) (multiplicity 2)
Pb (0.000, 0.500, 0.179) (multiplicity 2)

Peak list (6 most intense, 2θ = 10–80°, by intensity)
| two_theta | Rel. int. | index |
| --- | --- | --- |
| 37.3 | 100 | 1 1 2 |
| 37.8 | 32 | 0 2 0 |
| 26.9 | 32 | 0 1 3 |
| 43.9 | 27 | 1 1 4 |
| 25.7 | 27 | 0 0 4 |
| 65.0 | 26 | 1 1 8 |